This entry pairs a crystal structure of CsPaCl14 with its theoretical PXRD pattern. Radiation: Cu Kα. Structure: a crystal structure in Alexandria, relaxed with PBE.
Kinematic intensities with the Lorentz-polarization factor, no thermal factor.

The 12 most intense peaks (15° ≤ 2θ ≤ 90°), in order of falling intensity:
d [Å]	2θ (°)	intensity
5.869	15.10	100
4.187	21.22	84
3.216	27.74	70
5.036	17.61	68
5.429	16.33	68
3.605	24.70	55
2.938	30.42	54
4.615	19.23	53
3.714	23.96	44
2.472	36.35	39
2.308	39.02	35
3.082	28.97	33

Structural model:
Cell: 7.487 8.170 11.982 Å, 80.78 88.23 67.07°
Fractional coordinates of all 16 atoms:
Cs: 0.000 0.000 0.000
Pa: 0.359 0.392 0.901
Cl: 0.077 0.380 0.474
Cl: 0.103 0.329 0.802
Cl: 0.115 0.523 0.050
Cl: 0.123 0.636 0.378
Cl: 0.201 0.856 0.286
Cl: 0.242 0.714 0.784
Cl: 0.430 0.870 0.609
Cl: 0.466 0.077 0.024
Cl: 0.522 0.020 0.484
Cl: 0.568 0.294 0.317
Cl: 0.607 0.258 0.757
Cl: 0.618 0.451 0.001
Cl: 0.799 0.339 0.384
Cl: 0.822 0.825 0.433


This entry pairs a crystal structure of Cs3Pb4Cl12 with its theoretical PXRD pattern. Radiation: Cu Kα. Structure: a crystal structure in Alexandria, relaxed with PBE.
Kinematic intensities with the Lorentz-polarization factor, no thermal factor.

The 12 most intense peaks (15° ≤ 2θ ≤ 90°), in order of falling intensity:
d [Å]	2θ (°)	intensity
3.983	22.32	100
2.299	39.18	53
2.816	31.78	48
1.991	45.55	33
5.632	15.73	32
1.505	61.61	29
1.781	51.30	23
1.105	88.52	19
2.519	35.64	18
1.328	71.00	16
1.259	75.49	13
1.626	56.61	11

Structural model:
Cell: 9.755 9.755 9.755 Å, 109.47 109.47 109.47°
Fractional coordinates of all 19 atoms:
Cs: 0.000 0.500 0.500
Cs: 0.500 0.000 0.500
Cs: 0.500 0.500 0.000
Pb: 0.000 0.000 0.500
Pb: 0.000 0.500 0.000
Pb: 0.500 0.000 0.000
Pb: 0.500 0.500 0.500
Cl: 0.040 0.278 0.763
Cl: 0.237 0.515 0.278
Cl: 0.237 0.960 0.722
Cl: 0.278 0.237 0.515
Cl: 0.278 0.763 0.040
Cl: 0.485 0.722 0.763
Cl: 0.515 0.278 0.237
Cl: 0.722 0.237 0.960
Cl: 0.722 0.763 0.485
Cl: 0.763 0.040 0.278
Cl: 0.763 0.485 0.722
Cl: 0.960 0.722 0.237


This entry pairs a crystal structure of Cs3PbCl6 with its theoretical PXRD pattern. Radiation: Cu Kα. Structure: a crystal structure in Alexandria, relaxed with PBE.
Kinematic intensities with the Lorentz-polarization factor, no thermal factor.

The 12 most intense peaks (15° ≤ 2θ ≤ 90°), in order of falling intensity:
d [Å]	2θ (°)	intensity
4.153	21.39	100
2.369	37.99	46
2.959	30.20	28
4.076	21.81	21
4.304	20.64	21
2.915	30.67	17
2.077	43.58	17
2.455	36.61	15
2.413	37.26	14
1.846	49.36	13
2.637	34.00	12
3.511	25.36	8

Structural model:
Cell: 8.152 8.607 14.222 Å, 90.00 124.94 90.00°
Fractional coordinates of all 20 atoms:
Cs: 0.000 0.000 0.000
Cs: 0.000 0.500 0.500
Cs: 0.225 0.067 0.749
Cs: 0.225 0.433 0.249
Cs: 0.775 0.567 0.751
Cs: 0.775 0.933 0.251
Pb: 0.500 0.000 0.500
Pb: 0.500 0.500 0.000
Cl: 0.178 0.176 0.449
Cl: 0.178 0.324 0.949
Cl: 0.267 0.735 0.433
Cl: 0.267 0.765 0.933
Cl: 0.393 0.045 0.280
Cl: 0.393 0.455 0.780
Cl: 0.607 0.545 0.220
Cl: 0.607 0.955 0.720
Cl: 0.733 0.235 0.067
Cl: 0.733 0.265 0.567
Cl: 0.822 0.676 0.051
Cl: 0.822 0.824 0.551